Diffraction record for Pm12NdHo5. The powder diffraction line list is computed, not measured: it uses the GGA-PBE geometry in Alexandria and a wavelength of 1.5418 Å.

The 8 most intense peaks (5 to 70 degrees two-theta), in order of falling intensity:
d_spacing	intensity
2.870	100
2.906	29
2.030	20
2.836	19
1.671	17
2.855	14
1.497	8
1.650	8

Atomic structure:
Cell: 10.4613 10.4613 5.8125 Å, 90.02 90.02 108.82°
Sites, in units of the cell vectors:
1 Pm 0.0291 0.6703 0.9955
2 Pm 0.1706 0.5296 0.5045
3 Pm 0.2024 0.2024 0.4565
4 Pm 0.3032 0.3032 0.9579
5 Pm 0.3297 0.9709 0.0045
6 Pm 0.4704 0.8294 0.4955
7 Pm 0.5296 0.1706 0.5045
8 Pm 0.6703 0.0291 0.9955
9 Pm 0.6968 0.6968 0.0421
10 Pm 0.7976 0.7976 0.5435
11 Pm 0.8294 0.4704 0.4955
12 Pm 0.9709 0.3297 0.0045
13 Nd 0.0000 0.0000 0.0000
14 Ho 0.1372 0.8628 0.5000
15 Ho 0.3633 0.6367 0.0000
16 Ho 0.5000 0.5000 0.5000
17 Ho 0.6367 0.3633 0.0000
18 Ho 0.8628 0.1372 0.5000



Diffraction record for Pm4NdHo5. The powder diffraction line list is computed, not measured: it uses the GGA-PBE geometry in Alexandria and a wavelength of 1.5418 Å.

The 8 most intense peaks (5 to 70 degrees two-theta), in order of falling intensity:
d_spacing	intensity
2.656	100
2.871	29
3.316	23
3.426	20
2.801	18
1.883	15
2.826	13
2.817	13

Atomic structure:
Cell: 3.5444 8.7926 11.2034 Å, 89.81 89.96 78.39°
Sites, in units of the cell vectors:
1 Pm 0.0284 0.4390 0.2477
2 Pm 0.3410 0.8109 0.2502
3 Pm 0.6590 0.1891 0.7498
4 Pm 0.9716 0.5610 0.7523
5 Nd 0.5000 0.5000 0.5000
6 Ho 0.1742 0.1537 0.0484
7 Ho 0.1765 0.1504 0.4467
8 Ho 0.5000 0.5000 0.0000
9 Ho 0.8235 0.8496 0.5533
10 Ho 0.8258 0.8463 0.9516



Diffraction record for Pm3Nd6Ho2. The powder diffraction line list is computed, not measured: it uses the GGA-PBE geometry in Alexandria and a wavelength of 1.5418 Å.

The 5 most intense peaks (5 to 70 degrees two-theta), in order of falling intensity:
d_spacing	intensity
2.974	100
2.576	51
1.553	43
1.821	36
1.487	12

Atomic structure:
Cell: 32.7727 32.7727 32.7727 Å, 6.37 6.37 6.37°
Sites, in units of the cell vectors:
1 Pm 0.0000 0.0000 0.0000
2 Pm 0.2722 0.2722 0.2722
3 Pm 0.7278 0.7278 0.7278
4 Nd 0.0918 0.0918 0.0918
5 Nd 0.1822 0.1822 0.1822
6 Nd 0.3640 0.3640 0.3640
7 Nd 0.6360 0.6360 0.6360
8 Nd 0.8178 0.8178 0.8178
9 Nd 0.9082 0.9082 0.9082
10 Ho 0.4548 0.4548 0.4548
11 Ho 0.5452 0.5452 0.5452



Diffraction record for Pm3Nd2Ho7. The powder diffraction line list is computed, not measured: it uses the GGA-PBE geometry in Alexandria and a wavelength of 1.5418 Å.

The 8 most intense peaks (5 to 70 degrees two-theta), in order of falling intensity:
d_spacing	intensity
2.915	100
2.864	55
2.587	41
2.662	36
3.013	29
1.512	28
1.741	23
1.819	20

Atomic structure:
Cell: 6.3656 3.5366 17.5825 Å, 90.00 96.24 90.00°
Sites, in units of the cell vectors:
1 Pm 0.0000 0.0000 0.0000
2 Pm 0.0462 0.5000 0.6590
3 Pm 0.9538 0.5000 0.3410
4 Nd 0.4445 0.0000 0.3263
5 Nd 0.5555 0.0000 0.6737
6 Ho 0.2275 0.5000 0.1633
7 Ho 0.2453 0.0000 0.4999
8 Ho 0.2738 0.0000 0.8352
9 Ho 0.5000 0.5000 0.0000
10 Ho 0.7262 0.0000 0.1648
11 Ho 0.7547 0.0000 0.5001
12 Ho 0.7725 0.5000 0.8367



Diffraction record for Pm3Nd4Ho. The powder diffraction line list is computed, not measured: it uses the GGA-PBE geometry in Alexandria and a wavelength of 1.5418 Å.

The 8 most intense peaks (5 to 70 degrees two-theta), in order of falling intensity:
d_spacing	intensity
2.807	100
2.951	25
3.191	23
1.563	23
1.675	22
1.842	20
1.540	16
2.167	16

Atomic structure:
Cell: 11.8042 7.3758 6.3776 Å, 90.00 90.00 90.00°
Sites, in units of the cell vectors:
1 Pm 0.0000 0.1248 0.0000
2 Pm 0.2500 0.1233 0.3309
3 Pm 0.2500 0.8767 0.8309
4 Pm 0.5000 0.8752 0.5000
5 Pm 0.7500 0.1233 0.3309
6 Pm 0.7500 0.8767 0.8309
7 Nd 0.0000 0.3743 0.5008
8 Nd 0.0000 0.6262 0.9967
9 Nd 0.2476 0.6269 0.3320
10 Nd 0.2524 0.3731 0.8320
11 Nd 0.5000 0.3738 0.4967
12 Nd 0.5000 0.6257 0.0008
13 Nd 0.7476 0.3731 0.8320
14 Nd 0.7524 0.6269 0.3320
15 Ho 0.0000 0.8771 0.4987
16 Ho 0.5000 0.1229 0.9987



Diffraction record for Pm3Nd8Ho3. The powder diffraction line list is computed, not measured: it uses the GGA-PBE geometry in Alexandria and a wavelength of 1.5418 Å.

The 8 most intense peaks (5 to 70 degrees two-theta), in order of falling intensity:
d_spacing	intensity
2.861	100
2.875	52
2.705	52
3.062	33
2.972	30
2.066	21
1.626	20
1.657	20

Atomic structure:
Cell: 9.8508 9.8508 9.8508 Å, 146.06 112.38 77.85°
Sites, in units of the cell vectors:
1 Pm 0.0000 0.0000 0.0000
2 Pm 0.1797 0.6797 0.5000
3 Pm 0.8203 0.3203 0.5000
4 Nd 0.1189 0.2777 0.8412
5 Nd 0.2343 0.8966 0.3376
6 Nd 0.4365 0.2777 0.1588
7 Nd 0.4410 0.1034 0.3376
8 Nd 0.5590 0.8966 0.6624
9 Nd 0.5635 0.7223 0.8412
10 Nd 0.7657 0.1034 0.6624
11 Nd 0.8811 0.7223 0.1588
12 Ho 0.2002 0.5000 0.7002
13 Ho 0.5000 0.5000 0.0000
14 Ho 0.7998 0.5000 0.2998